For LuPaCdIn, DFT lattice parameters and positions (PBE) gives the theoretical XRD peak list in this record (Cu Kα (weighted mean of Kα1 and Kα2)).
Kinematic intensities with the Lorentz-polarization factor, no thermal factor.

Principal peaks in the range 5° ≤ 2θ ≤ 70°, low angle first:
- 20.67°, I = 1, hkl 1 1 1
- 23.91°, I = 8, hkl 2 0 0
- 34.07°, I = 100, hkl 2 2 0
- 40.18°, I = 1, hkl 3 1 1
- 42.05°, I = 3, hkl 2 2 2
- 48.94°, I = 18, hkl 4 0 0
- 55.18°, I = 4, hkl 4 2 0
- 60.97°, I = 37, hkl 4 2 2

Crystal structure
```
data_LuPaCdIn
_cell_length_a 7.444
_cell_length_b 7.444
_cell_length_c 7.444
_cell_angle_alpha 90.00
_cell_angle_beta 90.00
_cell_angle_gamma 90.00
_space_group_name_H-M_alt 'F -4 3 m'
_space_group_IT_number 216
_space_group_name_Hall 'F -4 2 3'
loop_
_atom_site_label
_atom_site_fract_x
_atom_site_fract_y
_atom_site_fract_z
Lu1 0.000 0.000 0.000
Pa1 0.000 0.000 0.500
Cd1 0.250 0.250 0.750
In1 0.250 0.250 0.250
```



For MgCd3In6, DFT lattice parameters and positions (PBE) gives the theoretical XRD peak list in this record (Cu Kα (weighted mean of Kα1 and Kα2)).
Kinematic intensities with the Lorentz-polarization factor, no thermal factor.

Principal peaks in the range 5° ≤ 2θ ≤ 70°, low angle first:
- 31.15°, I = 85, hkl 2 4 1
- 31.32°, I = 47, hkl 3 3 0
- 31.56°, I = 100, hkl 0 2 2
- 34.15°, I = 71, hkl 0 6 1
- 34.79°, I = 80, hkl 3 3 1
- 36.56°, I = 45, hkl 2 2 2
- 38.89°, I = 21, hkl 2 6 1
- 40.10°, I = 20, hkl 1 7 1
- 40.61°, I = 18, hkl 3 5 1
- 41.02°, I = 19, hkl 4 2 1

Crystal structure
```
data_MgCd3In6
_cell_length_a 9.823
_cell_length_b 17.521
_cell_length_c 6.002
_cell_angle_alpha 90.00
_cell_angle_beta 90.00
_cell_angle_gamma 90.00
_space_group_name_H-M_alt 'C m c 21'
_space_group_IT_number 36
_space_group_name_Hall 'C 2c -2'
loop_
_atom_site_label
_atom_site_fract_x
_atom_site_fract_y
_atom_site_fract_z
Mg1 0.000 0.222 0.000
Cd1 0.000 0.393 0.978
Cd2 0.155 0.107 0.273
In1 0.000 0.062 0.746
In2 0.000 0.311 0.525
In3 0.172 0.463 0.400
In4 0.243 0.202 0.684
```



For Mg4Cd15In, DFT lattice parameters and positions (PBE) gives the theoretical XRD peak list in this record (Cu Kα (weighted mean of Kα1 and Kα2)).
Kinematic intensities with the Lorentz-polarization factor, no thermal factor.

Principal peaks in the range 5° ≤ 2θ ≤ 70°, low angle first:
- 19.76°, I = 7, hkl 1 0 0
- 20.14°, I = 4, hkl 0 0 5
- 28.09°, I = 3, hkl 1 1 0
- 28.36°, I = 6, hkl 1 0 5
- 34.80°, I = 100, hkl 1 1 5
- 40.14°, I = 34, hkl 2 0 0
- 40.93°, I = 15, hkl 0 0 10
- 58.07°, I = 11, hkl 2 2 0
- 58.67°, I = 20, hkl 2 0 10
- 69.51°, I = 25, hkl 3 1 5

Crystal structure
```
data_Mg4Cd15In
_cell_length_a 4.493
_cell_length_b 4.493
_cell_length_c 22.051
_cell_angle_alpha 90.00
_cell_angle_beta 90.00
_cell_angle_gamma 90.00
_space_group_name_H-M_alt 'P 4/m m m'
_space_group_IT_number 123
_space_group_name_Hall '-P 4 2'
loop_
_atom_site_label
_atom_site_fract_x
_atom_site_fract_y
_atom_site_fract_z
Mg1 0.000 0.000 0.099
Mg2 0.000 0.000 0.296
Cd1 0.000 0.500 0.000
Cd2 0.000 0.500 0.198
Cd3 0.000 0.500 0.395
Cd4 0.500 0.500 0.098
Cd5 0.500 0.500 0.297
Cd6 0.500 0.500 0.500
In1 0.000 0.000 0.500
```



For Mg3Cd2In, DFT lattice parameters and positions (PBE) gives the theoretical XRD peak list in this record (Cu Kα (weighted mean of Kα1 and Kα2)).
Kinematic intensities with the Lorentz-polarization factor, no thermal factor.

Principal peaks in the range 5° ≤ 2θ ≤ 70°, low angle first:
- 20.75°, I = 37, hkl 0 0 3
- 27.63°, I = 37, hkl 1 0 0
- 34.81°, I = 100, hkl 1 0 3
- 39.47°, I = 35, hkl 1 1 0
- 42.22°, I = 14, hkl 0 0 6
- 45.01°, I = 19, hkl 1 1 3
- 51.21°, I = 13, hkl 1 0 6
- 57.06°, I = 11, hkl 2 0 0
- 59.17°, I = 20, hkl 1 1 6
- 68.60°, I = 26, hkl 2 1 3

Crystal structure
```
data_Mg3Cd2In
_cell_length_a 3.228
_cell_length_b 3.228
_cell_length_c 12.842
_cell_angle_alpha 90.00
_cell_angle_beta 90.00
_cell_angle_gamma 90.00
_space_group_name_H-M_alt 'P 4/m m m'
_space_group_IT_number 123
_space_group_name_Hall '-P 4 2'
loop_
_atom_site_label
_atom_site_fract_x
_atom_site_fract_y
_atom_site_fract_z
Mg1 0.000 0.000 0.000
Mg2 0.000 0.000 0.326
Cd1 0.500 0.500 0.162
In1 0.500 0.500 0.500
```



For MgCd4In7, DFT lattice parameters and positions (PBE) gives the theoretical XRD peak list in this record (Cu Kα (weighted mean of Kα1 and Kα2)).
Kinematic intensities with the Lorentz-polarization factor, no thermal factor.

Principal peaks in the range 5° ≤ 2θ ≤ 70°, low angle first:
- 5.85°, I = 6, hkl 0 0 2
- 32.58°, I = 100, hkl 1 0 4
- 35.68°, I = 25, hkl 0 0 12
- 38.73°, I = 61, hkl 0 1 8
- 53.81°, I = 23, hkl 1 1 0
- 58.00°, I = 17, hkl 1 0 16
- 64.34°, I = 14, hkl 0 2 4
- 66.25°, I = 23, hkl 1 1 12
- 68.25°, I = 11, hkl 2 0 8
- 69.99°, I = 9, hkl 0 1 20

Crystal structure
```
data_MgCd4In7
_cell_length_a 3.4073
_cell_length_b 3.4073
_cell_length_c 30.2003
_cell_angle_alpha 90.00
_cell_angle_beta 90.00
_cell_angle_gamma 120.00
_space_group_name_H-M_alt 'P -3 m 1'
_space_group_IT_number 164
_space_group_name_Hall '-P 3 2"'
loop_
_atom_site_label
_atom_site_fract_x
_atom_site_fract_y
_atom_site_fract_z
Mg1 0.0000 0.0000 0.0000
Cd1 0.3333 0.6667 0.1641
Cd2 0.3333 0.6667 0.4157
In1 0.0000 0.0000 0.2465
In2 0.0000 0.0000 0.5000
In3 0.3333 0.6667 0.6670
In4 0.3333 0.6667 0.9191
```



For Mg2Cd7In2, DFT lattice parameters and positions (PBE) gives the theoretical XRD peak list in this record (Cu Kα (weighted mean of Kα1 and Kα2)).
Kinematic intensities with the Lorentz-polarization factor, no thermal factor.

Principal peaks in the range 5° ≤ 2θ ≤ 70°, low angle first:
- 25.06°, I = 25, hkl 0 2 1
- 32.31°, I = 77, hkl 2 0 -2
- 33.57°, I = 69, hkl 0 4 0
- 37.67°, I = 100, hkl 2 2 1
- 38.07°, I = 97, hkl 4 2 -1
- 47.28°, I = 51, hkl 2 4 -2
- 60.90°, I = 23, hkl 0 2 3
- 61.75°, I = 23, hkl 6 2 -3
- 62.74°, I = 21, hkl 2 6 1
- 63.03°, I = 22, hkl 4 6 -1

Crystal structure
```
data_Mg2Cd7In2
_cell_length_a 10.554
_cell_length_b 10.678
_cell_length_c 5.543
_cell_angle_alpha 90.00
_cell_angle_beta 120.80
_cell_angle_gamma 90.00
_space_group_name_H-M_alt 'C 1 2/m 1'
_space_group_IT_number 12
_space_group_name_Hall '-C 2y'
loop_
_atom_site_label
_atom_site_fract_x
_atom_site_fract_y
_atom_site_fract_z
Mg1 0.000 0.247 0.000
Cd1 0.000 0.500 0.500
Cd2 0.160 0.000 0.163
Cd3 0.162 0.243 0.658
In1 0.174 0.500 0.172
```



For Mg4Cd4In3, DFT lattice parameters and positions (PBE) gives the theoretical XRD peak list in this record (Cu Kα (weighted mean of Kα1 and Kα2)).
Kinematic intensities with the Lorentz-polarization factor, no thermal factor.

Principal peaks in the range 5° ≤ 2θ ≤ 70°, low angle first:
- 20.27°, I = 45, hkl 0 0 4
- 21.40°, I = 33, hkl 0 1 -1
- 34.00°, I = 100, hkl 1 1 1
- 34.43°, I = 97, hkl 1 -1 0
- 34.48°, I = 96, hkl 0 1 -5
- 34.95°, I = 92, hkl 0 1 6
- 39.53°, I = 65, hkl 1 0 -5
- 39.66°, I = 71, hkl 1 0 6
- 40.83°, I = 60, hkl 0 2 1
- 58.22°, I = 40, hkl 1 2 7

Crystal structure
```
data_Mg4Cd4In3
_cell_length_a 3.255
_cell_length_b 4.421
_cell_length_c 17.700
_cell_angle_alpha 83.55
_cell_angle_beta 84.81
_cell_angle_gamma 89.27
_space_group_name_H-M_alt 'P -1'
_space_group_IT_number 2
_space_group_name_Hall '-P 1'
loop_
_atom_site_label
_atom_site_fract_x
_atom_site_fract_y
_atom_site_fract_z
Mg1 0.045 0.045 0.408
Mg2 0.316 0.318 0.867
Cd1 0.228 0.228 0.044
Cd2 0.411 0.410 0.681
In1 0.138 0.137 0.225
In2 0.500 0.500 0.500
```



For Mg2Cd2In7, DFT lattice parameters and positions (PBE) gives the theoretical XRD peak list in this record (Cu Kα (weighted mean of Kα1 and Kα2)).
Kinematic intensities with the Lorentz-polarization factor, no thermal factor.

Principal peaks in the range 5° ≤ 2θ ≤ 70°, low angle first:
- 16.67°, I = 41, hkl 2 0 0
- 25.44°, I = 54, hkl 2 2 0
- 31.38°, I = 62, hkl 0 0 2
- 31.68°, I = 45, hkl 2 2 1
- 32.34°, I = 35, hkl 1 1 -2
- 32.59°, I = 41, hkl 2 0 -2
- 33.17°, I = 47, hkl 1 3 -1
- 33.71°, I = 83, hkl 4 0 0
- 34.75°, I = 100, hkl 1 3 1
- 39.79°, I = 96, hkl 3 3 -1

Crystal structure
```
data_Mg2Cd2In7
_cell_length_a 10.847
_cell_length_b 9.304
_cell_length_c 5.815
_cell_angle_alpha 90.00
_cell_angle_beta 101.36
_cell_angle_gamma 90.00
_space_group_name_H-M_alt 'C 1 2/m 1'
_space_group_IT_number 12
_space_group_name_Hall '-C 2y'
loop_
_atom_site_label
_atom_site_fract_x
_atom_site_fract_y
_atom_site_fract_z
Mg1 0.000 0.189 0.000
Cd1 0.229 0.000 0.227
In1 0.000 0.000 0.500
In2 0.027 0.500 0.263
In3 0.227 0.182 0.736
```